Record 1
Starting from the GGA-PBE geometry in Alexandria, the X-ray powder pattern of Er2Zr8O19 was calculated for Cu Kα.
Lines closer than 0.1° are merged.

Cell and atoms:
a b c (Å): 3.6598 3.6598 26.2076
angles (deg): 90.00 90.00 90.00
Space group P-4m2 (No. 115)
Inequivalent atoms, fractional coordinates:
1 Er 0.0000 0.5000 0.0569 [2 per cell]
2 Zr 0.0000 0.5000 0.2530 [2 per cell]
3 Zr 0.0000 0.5000 0.4509 [2 per cell]
4 Zr 0.0000 0.5000 0.6477 [2 per cell]
5 Zr 0.0000 0.5000 0.8469 [2 per cell]
6 O 0.0000 0.0000 0.0000 [1 per cell]
7 O 0.0000 0.0000 0.1121 [2 per cell]
8 O 0.0000 0.0000 0.2115 [2 per cell]
9 O 0.0000 0.0000 0.3095 [2 per cell]
10 O 0.0000 0.0000 0.4055 [2 per cell]
11 O 0.0000 0.0000 0.5000 [1 per cell]
12 O 0.5000 0.5000 0.0945 [2 per cell]
13 O 0.5000 0.5000 0.1944 [2 per cell]
14 O 0.5000 0.5000 0.2954 [2 per cell]
15 O 0.5000 0.5000 0.3973 [2 per cell]
16 O 0.5000 0.5000 0.5000 [1 per cell]

The 10 most intense peaks (2θ from 10° to 80°), by intensity:
2θ (°)  intensity
29.77  100
49.50  35
59.13  28
49.83  19
34.66  17
58.54  12
34.22  9
61.84  7
73.14  5
27.92  3

=====

Record 2
Starting from the GGA-PBE geometry in Alexandria, the X-ray powder pattern of Pr4Sm3Tl2 was calculated for Cu Kα.
Lines closer than 0.1° are merged.

Cell and atoms:
a b c (Å): 13.2700 13.9122 6.6040
angles (deg): 90.00 95.60 90.00
Space group C2/c (No. 15)
Inequivalent atoms, fractional coordinates:
1 Pr 0.1059 0.2118 0.0798 [8 per cell]
2 Pr 0.1499 0.3268 0.5851 [8 per cell]
3 Sm 0.0000 0.4699 0.2500 [4 per cell]
4 Sm 0.1130 0.0628 0.5986 [8 per cell]
5 Tl 0.2042 0.4303 0.0465 [8 per cell]

The 10 most intense peaks (2θ from 10° to 80°), by intensity:
2θ (°)  intensity
31.56  100
32.69  46
29.04  37
30.24  36
34.57  35
33.02  32
59.17  22
49.16  21
27.13  16
32.02  15

=====

Record 3
Starting from the GGA-PBE geometry in Alexandria, the X-ray powder pattern of Sr3HgBi was calculated for Cu Kα.
Lines closer than 0.1° are merged.

Cell and atoms:
a b c (Å): 10.6751 16.7594 4.6867
angles (deg): 90.00 90.00 90.00
Space group C222 (No. 21)
Inequivalent atoms, fractional coordinates:
1 Sr 0.0000 0.1413 0.0000 [4 per cell]
2 Sr 0.1873 0.3851 0.4995 [8 per cell]
3 Hg 0.2500 0.2500 0.9994 [4 per cell]
4 Bi 0.0000 0.0000 0.5000 [2 per cell]
5 Bi 0.0000 0.5000 0.0000 [2 per cell]

The 10 most intense peaks (2θ from 10° to 80°), by intensity:
2θ (°)  intensity
19.72  100
26.19  78
33.23  66
36.30  41
21.73  34
32.03  33
33.94  33
38.41  31
43.54  27
53.88  27

=====

Record 4
Starting from the GGA-PBE geometry in Alexandria, the X-ray powder pattern of ErTaPd6 was calculated for Cu Kα.
Lines closer than 0.1° are merged.

Cell and atoms:
a b c (Å): 4.0285 4.0285 8.0807
angles (deg): 90.00 90.00 90.00
Space group P4/mmm (No. 123)
Inequivalent atoms, fractional coordinates:
1 Er 0.0000 0.0000 0.0000 [1 per cell]
2 Ta 0.0000 0.0000 0.5000 [1 per cell]
3 Pd 0.0000 0.5000 0.2642 [4 per cell]
4 Pd 0.5000 0.5000 0.0000 [1 per cell]
5 Pd 0.5000 0.5000 0.5000 [1 per cell]

The 10 most intense peaks (2θ from 10° to 80°), by intensity:
2θ (°)  intensity
38.68  100
45.01  33
78.77  25
65.43  20
44.87  16
78.57  11
65.54  11
22.04  5
31.37  4
55.84  2

=====

Record 5
Starting from the GGA-PBE geometry in Alexandria, the X-ray powder pattern of SrInCl2 was calculated for Cu Kα.
Lines closer than 0.1° are merged.

Cell and atoms:
a b c (Å): 7.5178 7.5178 13.1631
angles (deg): 90.00 90.00 90.00
Space group I-42d (No. 122)
Inequivalent atoms, fractional coordinates:
1 Sr 0.0000 0.0000 0.0000 [4 per cell]
2 In 0.0000 0.0000 0.5000 [4 per cell]
3 Cl 0.1639 0.2500 0.1250 [8 per cell]

The 10 most intense peaks (2θ from 10° to 80°), by intensity:
2θ (°)  intensity
21.49  100
36.28  37
40.34  36
33.72  20
23.67  19
44.69  14
57.13  12
43.78  10
61.99  10
64.80  8

=====

Record 6
Starting from the GGA-PBE geometry in Alexandria, the X-ray powder pattern of MnNb4Mo3 was calculated for Cu Kα.
Lines closer than 0.1° are merged.

Cell and atoms:
a b c (Å): 3.2005 3.2005 12.8000
angles (deg): 90.00 90.00 90.00
Space group P4/mmm (No. 123)
Inequivalent atoms, fractional coordinates:
1 Mn 0.0000 0.0000 0.0000 [1 per cell]
2 Nb 0.5000 0.5000 0.1183 [2 per cell]
3 Nb 0.5000 0.5000 0.3720 [2 per cell]
4 Mo 0.0000 0.0000 0.2452 [2 per cell]
5 Mo 0.0000 0.0000 0.5000 [1 per cell]

The 7 most intense peaks (2θ from 10° to 80°), by intensity:
2θ (°)  intensity
39.84  100
72.32  32
57.60  16
35.05  1
65.64  1
31.25  1
28.75  1